(1)
Diffraction record for Ho3Mg2Tl6. The PXRD pattern is theoretical, not measured: it uses DFT lattice parameters and positions (GGA-PBE) and a wavelength of 1.5418 Å.
Lines closer than 0.1° are merged.

Crystal structure
a = 15.688 Å, b = 15.688 Å, c = 15.688 Å
α = 163.53°, β = 163.53°, γ = 23.38°
Sites, in units of the cell vectors:
Ho1 0.000 0.000 0.000
Ho2 0.163 0.163 0.000
Ho3 0.837 0.837 0.000
Mg1 0.361 0.361 0.000
Mg2 0.639 0.639 0.000
Tl1 0.074 0.574 0.500
Tl2 0.267 0.267 0.000
Tl3 0.426 0.926 0.500
Tl4 0.574 0.074 0.500
Tl5 0.733 0.733 0.000
Tl6 0.926 0.426 0.500

Principal peaks in the range 2θ from 10° to 90°, in order of falling intensity:
Position (°2θ)	I (rel.)
28.68	100
40.12	83
33.17	82
36.70	73
28.42	47
17.32	34
54.31	32
30.44	31
37.93	29
58.04	29

(2)
Diffraction record for HoTm5Mg6. The PXRD pattern is theoretical, not measured: it uses DFT lattice parameters and positions (GGA-PBE) and a wavelength of 1.5418 Å.
Lines closer than 0.1° are merged.

Crystal structure
a = 5.331 Å, b = 7.462 Å, c = 8.429 Å
α = 90.00°, β = 108.37°, γ = 90.00°
Sites, in units of the cell vectors:
Ho1 0.000 0.000 0.000
Tm1 0.000 0.500 0.000
Tm2 0.332 0.000 0.666
Tm3 0.333 0.500 0.668
Tm4 0.667 0.500 0.332
Tm5 0.668 0.000 0.334
Mg1 0.168 0.251 0.334
Mg2 0.168 0.749 0.334
Mg3 0.500 0.251 0.000
Mg4 0.500 0.749 0.000
Mg5 0.832 0.251 0.666
Mg6 0.832 0.749 0.666

Principal peaks in the range 2θ from 10° to 90°, in order of falling intensity:
Position (°2θ)	I (rel.)
33.80	100
23.60	66
33.62	51
60.23	38
23.85	32
41.64	30
60.58	19
48.28	18
54.41	14
54.54	14

(3)
Diffraction record for Ho4Tm3Mg. The PXRD pattern is theoretical, not measured: it uses DFT lattice parameters and positions (GGA-PBE) and a wavelength of 1.5418 Å.
Lines closer than 0.1° are merged.

Crystal structure
a = 12.774 Å, b = 12.774 Å, c = 5.793 Å
α = 95.53°, β = 95.53°, γ = 15.10°
Sites, in units of the cell vectors:
Ho1 0.102 0.102 0.197
Ho2 0.282 0.282 0.762
Ho3 0.718 0.718 0.238
Ho4 0.898 0.898 0.803
Tm1 0.000 0.000 0.500
Tm2 0.150 0.150 0.715
Tm3 0.850 0.850 0.285
Mg1 0.500 0.500 0.000

Principal peaks in the range 2θ from 10° to 90°, in order of falling intensity:
Position (°2θ)	I (rel.)
31.00	100
31.16	54
26.79	53
36.59	41
30.85	40
33.15	39
64.21	37
33.72	33
46.46	30
27.46	30

(4)
Diffraction record for Ho4Tm4Mg. The PXRD pattern is theoretical, not measured: it uses DFT lattice parameters and positions (GGA-PBE) and a wavelength of 1.5418 Å.
Lines closer than 0.1° are merged.

Crystal structure
a = 7.758 Å, b = 7.758 Å, c = 7.758 Å
α = 95.87°, β = 95.87°, γ = 142.69°
Sites, in units of the cell vectors:
Ho1 0.167 0.167 0.334
Ho2 0.167 0.833 0.000
Ho3 0.833 0.167 0.000
Ho4 0.833 0.833 0.666
Tm1 0.166 0.500 0.666
Tm2 0.500 0.166 0.666
Tm3 0.500 0.834 0.334
Tm4 0.834 0.500 0.334
Mg1 0.500 0.500 0.000

Principal peaks in the range 2θ from 10° to 90°, in order of falling intensity:
Position (°2θ)	I (rel.)
31.49	100
36.68	33
62.82	28
52.48	24
36.20	17
62.18	14
65.73	12
85.95	12
52.84	12
86.52	6

(5)
Diffraction record for Ho2TmMg9. The PXRD pattern is theoretical, not measured: it uses DFT lattice parameters and positions (GGA-PBE) and a wavelength of 1.5418 Å.
Lines closer than 0.1° are merged.

Crystal structure
a = 10.260 Å, b = 10.260 Å, c = 10.260 Å
α = 34.12°, β = 34.12°, γ = 34.12°
Sites, in units of the cell vectors:
Ho1 0.143 0.143 0.143
Ho2 0.857 0.857 0.857
Tm1 0.000 0.000 0.000
Mg1 0.079 0.587 0.587
Mg2 0.334 0.334 0.334
Mg3 0.413 0.413 0.921
Mg4 0.413 0.921 0.413
Mg5 0.500 0.500 0.500
Mg6 0.587 0.079 0.587
Mg7 0.587 0.587 0.079
Mg8 0.666 0.666 0.666
Mg9 0.921 0.413 0.413

Principal peaks in the range 2θ from 10° to 90°, in order of falling intensity:
Position (°2θ)	I (rel.)
35.14	100
27.52	87
29.68	83
17.28	83
30.05	47
34.55	42
51.36	32
18.38	28
56.26	26
61.63	20

(6)
Diffraction record for Ho5Tm6Mg2. The PXRD pattern is theoretical, not measured: it uses DFT lattice parameters and positions (GGA-PBE) and a wavelength of 1.5418 Å.
Lines closer than 0.1° are merged.

Crystal structure
a = 10.212 Å, b = 22.164 Å, c = 3.519 Å
α = 90.00°, β = 90.00°, γ = 90.00°
Sites, in units of the cell vectors:
Ho1 0.000 0.000 0.000
Ho2 0.077 0.252 0.000
Ho3 0.166 0.506 0.000
Ho4 0.334 0.006 0.000
Ho5 0.423 0.752 0.000
Ho6 0.500 0.500 0.000
Ho7 0.577 0.248 0.000
Ho8 0.666 0.994 0.000
Ho9 0.834 0.494 0.000
Ho10 0.923 0.748 0.000
Tm1 0.021 0.388 0.500
Tm2 0.142 0.118 0.500
Tm3 0.169 0.865 0.000
Tm4 0.331 0.365 0.000
Tm5 0.358 0.618 0.500
Tm6 0.479 0.888 0.500
Tm7 0.521 0.112 0.500
Tm8 0.642 0.382 0.500
Tm9 0.669 0.635 0.000
Tm10 0.831 0.135 0.000
Tm11 0.858 0.882 0.500
Tm12 0.979 0.612 0.500
Mg1 0.172 0.739 0.500
Mg2 0.328 0.239 0.500
Mg3 0.672 0.761 0.500
Mg4 0.828 0.261 0.500

Principal peaks in the range 2θ from 10° to 90°, in order of falling intensity:
Position (°2θ)	I (rel.)
33.20	100
28.88	61
32.31	56
30.08	53
36.96	28
37.07	27
28.00	27
34.95	24
51.97	22
63.08	20

(7)
Diffraction record for Ho5TmMg. The PXRD pattern is theoretical, not measured: it uses DFT lattice parameters and positions (GGA-PBE) and a wavelength of 1.5418 Å.
Lines closer than 0.1° are merged.

Crystal structure
a = 7.577 Å, b = 7.577 Å, c = 7.577 Å
α = 118.16°, β = 81.32°, γ = 132.76°
Sites, in units of the cell vectors:
Ho1 0.000 0.000 0.000
Ho2 0.081 0.332 0.750
Ho3 0.582 0.332 0.250
Ho4 0.710 0.024 0.314
Ho5 0.710 0.396 0.686
Tm1 0.209 0.709 0.500
Mg1 0.472 0.472 0.000

Principal peaks in the range 2θ from 10° to 90°, in order of falling intensity:
Position (°2θ)	I (rel.)
24.19	100
40.94	79
28.32	75
31.12	73
32.60	57
15.42	50
36.06	40
39.60	33
22.84	33
18.53	33

(8)
Diffraction record for Ho2Tm2Mg5. The PXRD pattern is theoretical, not measured: it uses DFT lattice parameters and positions (GGA-PBE) and a wavelength of 1.5418 Å.
Lines closer than 0.1° are merged.

Crystal structure
a = 9.471 Å, b = 9.471 Å, c = 9.471 Å
α = 85.35°, β = 107.60°, γ = 141.15°
Sites, in units of the cell vectors:
Ho1 0.000 0.000 0.000
Ho2 0.000 0.500 0.500
Ho3 0.930 0.690 0.740
Ho4 0.950 0.190 0.260
Tm1 0.469 0.095 0.621
Tm2 0.469 0.349 0.874
Tm3 0.475 0.595 0.126
Tm4 0.475 0.849 0.379
Mg1 0.027 0.339 0.806
Mg2 0.027 0.721 0.188
Mg3 0.365 0.851 0.013
Mg4 0.431 0.335 0.387
Mg5 0.431 0.545 0.597
Mg6 0.533 0.221 0.194
Mg7 0.533 0.839 0.812
Mg8 0.838 0.351 0.987
Mg9 0.948 0.045 0.613
Mg10 0.948 0.835 0.403

Principal peaks in the range 2θ from 10° to 90°, in order of falling intensity:
Position (°2θ)	I (rel.)
30.40	100
15.84	77
38.14	55
32.63	51
32.00	31
50.61	23
51.48	21
28.34	21
56.85	15
43.26	14

(9)
Diffraction record for Ho8Tm5Mg. The PXRD pattern is theoretical, not measured: it uses DFT lattice parameters and positions (GGA-PBE) and a wavelength of 1.5418 Å.
Lines closer than 0.1° are merged.

Crystal structure
a = 8.326 Å, b = 8.326 Å, c = 8.326 Å
α = 110.49°, β = 110.49°, γ = 107.46°
Sites, in units of the cell vectors:
Ho1 0.155 0.427 0.088
Ho2 0.339 0.067 0.912
Ho3 0.418 0.159 0.395
Ho4 0.573 0.661 0.728
Ho5 0.764 0.023 0.605
Ho6 0.841 0.236 0.259
Ho7 0.933 0.845 0.272
Ho8 0.977 0.582 0.741
Tm1 0.000 0.000 0.000
Tm2 0.214 0.315 0.689
Tm3 0.474 0.786 0.100
Tm4 0.626 0.526 0.311
Tm5 0.685 0.374 0.900
Mg1 0.250 0.750 0.500

Principal peaks in the range 2θ from 10° to 90°, in order of falling intensity:
Position (°2θ)	I (rel.)
34.53	100
29.76	71
29.65	53
28.77	41
35.28	41
35.00	34
55.96	34
88.15	24
32.27	24
64.71	18

(10)
Diffraction record for Ho2Tm2Mg15. The PXRD pattern is theoretical, not measured: it uses DFT lattice parameters and positions (GGA-PBE) and a wavelength of 1.5418 Å.
Lines closer than 0.1° are merged.

Crystal structure
a = 7.884 Å, b = 7.884 Å, c = 7.884 Å
α = 82.55°, β = 82.55°, γ = 82.55°
Sites, in units of the cell vectors:
Ho1 0.173 0.173 0.173
Ho2 0.827 0.827 0.827
Tm1 0.399 0.399 0.399
Tm2 0.601 0.601 0.601
Mg1 0.000 0.500 0.500
Mg2 0.142 0.142 0.656
Mg3 0.142 0.656 0.142
Mg4 0.201 0.500 0.799
Mg5 0.201 0.799 0.500
Mg6 0.344 0.858 0.858
Mg7 0.500 0.000 0.500
Mg8 0.500 0.201 0.799
Mg9 0.500 0.500 0.000
Mg10 0.500 0.799 0.201
Mg11 0.656 0.142 0.142
Mg12 0.799 0.201 0.500
Mg13 0.799 0.500 0.201
Mg14 0.858 0.344 0.858
Mg15 0.858 0.858 0.344

Principal peaks in the range 2θ from 10° to 90°, in order of falling intensity:
Position (°2θ)	I (rel.)
17.05	100
29.75	53
34.49	48
35.42	30
39.56	27
34.65	25
30.82	24
30.63	22
35.27	21
25.26	19

(11)
Diffraction record for Ho5Tm2Mg. The PXRD pattern is theoretical, not measured: it uses DFT lattice parameters and positions (GGA-PBE) and a wavelength of 1.5418 Å.
Lines closer than 0.1° are merged.

Crystal structure
a = 3.532 Å, b = 8.538 Å, c = 16.251 Å
α = 98.88°, β = 96.22°, γ = 90.04°
Sites, in units of the cell vectors:
Ho1 0.046 0.489 0.093
Ho2 0.076 0.129 0.152
Ho3 0.129 0.784 0.256
Ho4 0.206 0.469 0.411
Ho5 0.326 0.880 0.653
Ho6 0.674 0.120 0.347
Ho7 0.794 0.531 0.589
Ho8 0.871 0.216 0.744
Ho9 0.924 0.871 0.848
Ho10 0.954 0.511 0.907
Tm1 0.271 0.178 0.541
Tm2 0.480 0.192 0.960
Tm3 0.520 0.808 0.040
Tm4 0.729 0.822 0.459
Mg1 0.376 0.559 0.752
Mg2 0.624 0.441 0.248

Principal peaks in the range 2θ from 10° to 90°, in order of falling intensity:
Position (°2θ)	I (rel.)
31.57	100
34.67	57
31.83	44
28.31	41
31.46	31
32.44	21
33.22	20
36.88	20
51.76	18
28.89	18

(12)
Diffraction record for Ho3TmMg. The PXRD pattern is theoretical, not measured: it uses DFT lattice parameters and positions (GGA-PBE) and a wavelength of 1.5418 Å.
Lines closer than 0.1° are merged.

Crystal structure
a = 6.584 Å, b = 6.584 Å, c = 12.970 Å
α = 93.18°, β = 93.18°, γ = 31.62°
Sites, in units of the cell vectors:
Ho1 0.133 0.133 0.479
Ho2 0.264 0.264 0.732
Ho3 0.349 0.349 0.068
Ho4 0.651 0.651 0.932
Ho5 0.736 0.736 0.268
Ho6 0.867 0.867 0.521
Tm1 0.467 0.467 0.312
Tm2 0.533 0.533 0.688
Mg1 0.065 0.065 0.122
Mg2 0.935 0.935 0.878

Principal peaks in the range 2θ from 10° to 90°, in order of falling intensity:
Position (°2θ)	I (rel.)
33.26	100
33.50	98
32.21	65
30.28	34
34.17	27
58.41	27
34.64	27
29.13	26
53.09	24
63.04	23